For Rb2PmP2O7, DFT lattice parameters and positions (PBE) gives the theoretical PXRD pattern in this record (Cu Kα, 1.54184 Å).
Lines closer than 0.1° are merged.

Structural model:
```
Rb2PmP2O7
1.0
3.1107 1.7960 6.3439
-3.1107 1.7960 6.3439
0.0000 -3.5920 6.3439
Rb Pm P O
2 1 2 7
Cartesian
0.0000 0.0000 4.4310
0.0000 0.0000 14.6007
0.0000 0.0000 0.0000
0.0000 0.0000 7.9027
0.0000 0.0000 11.1290
0.0000 -1.4795 7.4967
-1.2813 0.7397 7.4967
-1.2813 -0.7397 11.5350
0.0000 0.0000 9.5159
1.2813 0.7397 7.4967
1.2813 -0.7397 11.5350
0.0000 1.4795 11.5350
```

Top 6 peaks for 2θ = 10–90°, most intense first:
d/Å	I (rel.)
3.110	100
3.566	35
2.344	24
1.796	24
1.872	16
1.749	13

For Rb3PmP2O8, DFT lattice parameters and positions (PBE) gives the theoretical PXRD pattern in this record (Cu Kα, 1.54184 Å).
Lines closer than 0.1° are merged.

Structural model:
```
Rb3PmP2O8
1.0
5.8310 0.0000 0.0000
-2.9155 5.0498 0.0000
0.0000 0.0000 8.3042
Rb Pm P O
3 1 2 8
Cartesian
0.0000 0.0000 0.0000
0.0000 3.3665 6.2743
2.9155 1.6833 2.0299
0.0000 0.0000 4.1521
0.0000 3.3665 2.2356
2.9155 1.6833 6.0687
0.0000 1.8953 2.7818
-1.2742 4.1022 2.7818
0.0000 3.3665 0.7073
1.6413 0.9476 5.5224
1.2742 4.1022 2.7818
2.9155 1.6833 7.5969
4.1897 0.9476 5.5224
2.9155 3.1546 5.5224
```

Top 6 peaks for 2θ = 10–90°, most intense first:
d/Å	I (rel.)
3.207	100
2.916	74
2.157	38
1.734	29
1.691	27
1.327	14

For Pm3SbPO, DFT lattice parameters and positions (PBE) gives the theoretical PXRD pattern in this record (Cu Kα, 1.54184 Å).
Lines closer than 0.1° are merged.

Structural model:
```
Pm3SbPO
1.0
8.7312 0.0000 0.0000
0.0000 4.1716 0.0000
-1.8824 0.0000 8.8832
Pm Sb P O
6 2 2 2
Cartesian
0.0005 1.0429 3.0386
1.0207 1.0429 8.7092
2.1456 3.1287 5.7613
4.7031 1.0429 3.1219
5.8280 3.1287 0.1740
6.8483 3.1287 5.8446
2.3080 3.1287 2.4530
4.5407 1.0429 6.4302
0.1233 1.0429 5.8707
6.7254 3.1287 3.0125
1.8682 3.1287 8.0844
4.9805 1.0429 0.7987
```

Top 6 peaks for 2θ = 10–90°, most intense first:
d/Å	I (rel.)
2.961	100
2.326	25
2.984	23
3.001	22
2.086	19
8.541	17